(1)
This entry pairs a crystal structure of Ta4H6Ru7 with its calculated powder diffraction line list. Radiation: λ = 1.5418 Å (Cu Kα). Structure: a cell relaxed with GGA-PBE.

Main lines, by angle (10° ≤ 2θ ≤ 90°):
h k l, two_theta, I/Imax
0 2 1, 29.24, 52
2 2 0, 34.16, 100
1 3 -1, 37.62, 87
2 0 1, 39.05, 83
2 0 -3, 39.17, 64
4 2 -2, 42.62, 79
1 3 -2, 45.36, 69
2 2 1, 46.08, 54

a = 10.2267 Å, b = 7.5986 Å, c = 7.2529 Å
α = 90.00°, β = 134.70°, γ = 90.00°
Space group Cm (No. 8)
Asymmetric unit:
Ta1 0.0000 0.1912 0.0000 (multiplicity 4)
Ta2 0.4228 0.2069 0.3482 (multiplicity 4)
H1 0.0068 0.5000 0.6260 (multiplicity 2)
H2 0.1101 0.1762 0.3514 (multiplicity 4)
H3 0.1980 0.0000 0.6582 (multiplicity 2)
H4 0.2111 0.0000 0.0256 (multiplicity 2)
H5 0.3321 0.5000 0.0858 (multiplicity 2)
Ru1 0.0029 0.0000 0.6574 (multiplicity 2)
Ru2 0.1713 0.3164 0.8568 (multiplicity 4)
Ru3 0.2092 0.5000 0.5606 (multiplicity 2)
Ru4 0.2095 0.5000 0.1990 (multiplicity 2)
Ru5 0.2690 0.0000 0.4647 (multiplicity 2)
Ru6 0.3729 0.0000 0.0003 (multiplicity 2)

=====

(2)
This entry pairs a crystal structure of SmPaFe10 with its calculated powder diffraction line list. Radiation: λ = 1.5418 Å (Cu Kα). Structure: a cell relaxed with GGA-PBE.

Main lines, by angle (10° ≤ 2θ ≤ 90°):
h k l, two_theta, I/Imax
1 1 1, 30.42, 67
0 2 0, 35.99, 37
0 0 4, 41.80, 38
1 2 0, 42.68, 100
2 0 0, 45.27, 24
2 2 0, 59.14, 17
2 0 4, 63.30, 21
1 3 3, 69.27, 15

a = 4.0065 Å, b = 4.9966 Å, c = 8.6357 Å
α = 90.00°, β = 90.00°, γ = 90.00°
Space group Pmmm (No. 47)
Asymmetric unit:
Sm1 0.0000 0.0000 0.0000 (multiplicity 1)
Pa1 0.0000 0.5000 0.5000 (multiplicity 1)
Fe1 0.0000 0.0000 0.3388 (multiplicity 2)
Fe2 0.0000 0.5000 0.1729 (multiplicity 2)
Fe3 0.5000 0.0000 0.5000 (multiplicity 1)
Fe4 0.5000 0.2512 0.2527 (multiplicity 4)
Fe5 0.5000 0.5000 0.0000 (multiplicity 1)

=====

(3)
This entry pairs a crystal structure of Ca3ZnCd4O8 with its calculated powder diffraction line list. Radiation: λ = 1.5418 Å (Cu Kα). Structure: a cell relaxed with GGA-PBE.

Main lines, by angle (10° ≤ 2θ ≤ 90°):
h k l, two_theta, I/Imax
2 0 -1, 16.26, 40
0 2 1, 31.19, 20
2 2 0, 32.52, 100
4 0 -2, 32.87, 32
4 0 0, 37.43, 51
2 2 -2, 38.02, 96
2 2 2, 54.15, 31
6 2 -2, 54.69, 45

a = 11.6316 Å, b = 6.7125 Å, c = 6.6769 Å
α = 90.00°, β = 124.29°, γ = 90.00°
Space group C2/m (No. 12)
Asymmetric unit:
Ca1 0.0000 0.0000 0.0000 (multiplicity 2)
Ca2 0.2500 0.2500 0.5000 (multiplicity 4)
Zn1 0.0000 0.5000 0.0000 (multiplicity 2)
Cd1 0.0000 0.0000 0.5000 (multiplicity 2)
Cd2 0.0000 0.5000 0.5000 (multiplicity 2)
Cd3 0.2500 0.2500 0.0000 (multiplicity 4)
O1 0.0015 0.2701 0.2315 (multiplicity 8)
O2 0.2348 0.0000 0.7336 (multiplicity 4)
O3 0.2463 0.0000 0.2495 (multiplicity 4)